Record 1
Diffraction record for Zr2BrCl5. The powder diffraction line list is calculated, not measured: it uses a DFT-relaxed cell (PBE, OQMD) and copper Kα.

The 10 most intense peaks (2θ from 10° to 90°), low angle first:
| two_theta | I/Imax |
| --- | --- |
| 15.55 | 100 |
| 15.67 | 90 |
| 30.80 | 31 |
| 31.00 | 56 |
| 33.31 | 44 |
| 40.25 | 25 |
| 40.40 | 55 |
| 43.44 | 24 |
| 47.88 | 30 |
| 48.29 | 14 |

Crystal structure
Cell lengths 6.1050, 6.5467, 6.5467 Å; angles 119.47, 90.00, 90.00 degrees
Sites, in units of the cell vectors:
Zr 0.2431 0.0000 0.0000
Zr 0.7569 0.0000 0.0000
Br 0.5000 0.3346 0.3346
Cl 0.0000 0.3136 0.9950
Cl 0.0000 0.6853 0.6853
Cl 0.0000 0.9950 0.3136
Cl 0.5000 0.0009 0.6892
Cl 0.5000 0.6892 0.0009



Record 2
Diffraction record for CoBr2. The powder diffraction line list is calculated, not measured: it uses a DFT-relaxed cell (PBE, OQMD) and copper Kα.

The 10 most intense peaks (2θ from 10° to 90°), low angle first:
| two_theta | I/Imax |
| --- | --- |
| 13.34 | 96 |
| 29.63 | 19 |
| 31.61 | 100 |
| 31.90 | 27 |
| 35.12 | 50 |
| 35.39 | 28 |
| 44.76 | 38 |
| 50.31 | 22 |
| 50.51 | 20 |
| 50.91 | 24 |

Crystal structure
Cell lengths 3.6273, 6.1908, 13.2772 Å; angles 90.00, 90.00, 90.00 degrees
Sites, in units of the cell vectors:
Co 0.0000 0.0215 0.0000
Co 0.0000 0.4151 0.5024
Co 0.5000 0.5849 0.0024
Co 0.5000 0.9785 0.5000
Br 0.0000 0.1083 0.6207
Br 0.0000 0.3911 0.1054
Br 0.0000 0.7146 0.8817
Br 0.0000 0.7844 0.3971
Br 0.5000 0.2156 0.8971
Br 0.5000 0.2854 0.3817
Br 0.5000 0.6089 0.6054
Br 0.5000 0.8917 0.1207



Record 3
Diffraction record for CoBr. The powder diffraction line list is calculated, not measured: it uses a DFT-relaxed cell (PBE, OQMD) and copper Kα.

The 9 most intense peaks (2θ from 10° to 90°), low angle first:
| two_theta | I/Imax |
| --- | --- |
| 27.85 | 100 |
| 32.27 | 2 |
| 46.29 | 70 |
| 54.89 | 42 |
| 57.55 | 1 |
| 67.54 | 11 |
| 74.56 | 16 |
| 76.84 | 1 |
| 85.81 | 22 |

Crystal structure
Cell lengths 3.9229, 3.9229, 3.9229 Å; angles 60.00, 60.00, 60.00 degrees
Sites, in units of the cell vectors:
Co 0.0000 0.0000 0.0000
Br 0.2500 0.2500 0.2500



Record 4
Diffraction record for Cs2CoPdBr6. The powder diffraction line list is calculated, not measured: it uses a DFT-relaxed cell (PBE, OQMD) and copper Kα.

The 10 most intense peaks (2θ from 10° to 90°), low angle first:
| two_theta | I/Imax |
| --- | --- |
| 23.80 | 42 |
| 29.26 | 79 |
| 33.92 | 100 |
| 41.86 | 18 |
| 48.72 | 70 |
| 57.85 | 33 |
| 60.69 | 24 |
| 71.37 | 11 |
| 78.94 | 14 |
| 81.41 | 31 |

Crystal structure
Cell lengths 7.4760, 7.4760, 7.4760 Å; angles 60.00, 60.00, 60.00 degrees
Sites, in units of the cell vectors:
Cs 0.2500 0.2500 0.2500
Cs 0.7500 0.7500 0.7500
Co 0.0000 0.0000 0.0000
Pd 0.5000 0.5000 0.5000
Br 0.2443 0.2443 0.7557
Br 0.2443 0.7557 0.2443
Br 0.2443 0.7557 0.7557
Br 0.7557 0.2443 0.2443
Br 0.7557 0.2443 0.7557
Br 0.7557 0.7557 0.2443